Diffraction record for Mg14CrSi. The X-ray powder pattern is theoretical, not measured: it uses a GGA-PBE-relaxed structure and λ = 1.5418 Å (Cu Kα).
Intensities are scaled so that the largest is 100.

Structure:
a b c (Å): 6.2346 6.2346 10.2695
angles (deg): 90.00 90.00 120.00
Space group P-6m2 (No. 187)
One atom of each set of equivalent atoms:
Mg 0.0000 0.0000 0.2486 [2 per cell]
Mg 0.0068 0.5034 0.2495 [6 per cell]
Mg 0.3322 0.1661 0.5000 [3 per cell]
Mg 0.3333 0.1667 0.0000 [3 per cell]
Cr 0.3333 0.6667 0.0000 [1 per cell]
Si 0.3333 0.6667 0.5000 [1 per cell]

Main lines, by angle (10° ≤ 2θ ≤ 90°):
2θ/deg  I (rel.)
16.42  4
33.18  24
34.95  27
37.64  100
48.96  15
59.29  16
64.46  19
70.71  19
72.39  13
73.82  3
80.37  3
83.36  3



Diffraction record for Na2AlCuF6. The X-ray powder pattern is theoretical, not measured: it uses a GGA-PBE-relaxed structure and λ = 1.5418 Å (Cu Kα).
Intensities are scaled so that the largest is 100.

Structure:
a b c (Å): 8.015 8.015 8.015
angles (deg): 90.00 90.00 90.00
Space group Fm-3m (No. 225)
One atom of each set of equivalent atoms:
Na 0.250 0.250 0.250 [8 per cell]
Al 0.000 0.000 0.000 [4 per cell]
Cu 0.000 0.000 0.500 [4 per cell]
F 0.000 0.000 0.227 [24 per cell]

Main lines, by angle (10° ≤ 2θ ≤ 90°):
2θ/deg  I (rel.)
22.18  86
31.57  100
37.21  24
38.93  13
45.26  95
49.58  21
50.96  27
56.23  35
65.93  49
70.50  11
74.94  19
83.58  14



Diffraction record for KCaO3. The X-ray powder pattern is theoretical, not measured: it uses a GGA-PBE-relaxed structure and λ = 1.5418 Å (Cu Kα).
Intensities are scaled so that the largest is 100.

Structure:
a b c (Å): 4.569 4.569 4.569
angles (deg): 90.00 90.00 90.00
Space group Pm-3m (No. 221)
One atom of each set of equivalent atoms:
K 0.000 0.000 0.000 [1 per cell]
Ca 0.500 0.500 0.500 [1 per cell]
O 0.000 0.500 0.500 [3 per cell]

Main lines, by angle (10° ≤ 2θ ≤ 90°):
2θ/deg  I (rel.)
19.43  10
27.61  100
33.99  20
39.45  71
44.33  4
48.83  37
57.01  40
64.50  15
68.06  4
71.54  12
78.30  17
84.90  5



Diffraction record for K2HoPCO7. The X-ray powder pattern is theoretical, not measured: it uses a GGA-PBE-relaxed structure and λ = 1.5418 Å (Cu Kα).
Intensities are scaled so that the largest is 100.

Structure:
a b c (Å): 5.805 7.134 9.917
angles (deg): 90.00 92.26 90.00
Space group P2_1/m (No. 11)
One atom of each set of equivalent atoms:
K 0.245 0.012 0.225 [4 per cell]
Ho 0.223 0.250 0.635 [2 per cell]
P 0.289 0.750 0.571 [2 per cell]
C 0.270 0.250 0.911 [2 per cell]
O 0.065 0.250 0.848 [2 per cell]
O 0.147 0.750 0.432 [2 per cell]
O 0.231 0.570 0.650 [4 per cell]
O 0.301 0.250 0.036 [2 per cell]
O 0.445 0.250 0.827 [2 per cell]
O 0.448 0.250 0.458 [2 per cell]

Main lines, by angle (10° ≤ 2θ ≤ 90°):
2θ/deg  I (rel.)
15.30  100
19.73  84
21.87  32
23.14  46
24.08  62
24.96  37
30.60  68
30.84  65
30.96  43
31.70  27
33.15  29
41.03  29



Diffraction record for Rb3Sb. The X-ray powder pattern is theoretical, not measured: it uses a GGA-PBE-relaxed structure and λ = 1.5418 Å (Cu Kα).
Intensities are scaled so that the largest is 100.

Structure:
a b c (Å): 8.971 8.971 8.971
angles (deg): 90.00 90.00 90.00
Space group Fm-3m (No. 225)
One atom of each set of equivalent atoms:
Rb 0.000 0.000 0.000 [4 per cell]
Rb 0.250 0.250 0.250 [8 per cell]
Sb 0.000 0.000 0.500 [4 per cell]

Main lines, by angle (10° ≤ 2θ ≤ 90°):
2θ/deg  I (rel.)
17.12  2
19.79  1
28.13  100
33.12  1
40.21  19
49.79  40
58.17  12
65.84  17
73.08  4
80.04  20
86.86  2



Diffraction record for KMgH5S2O10. The X-ray powder pattern is theoretical, not measured: it uses a GGA-PBE-relaxed structure and λ = 1.5418 Å (Cu Kα).
Intensities are scaled so that the largest is 100.

Structure:
a b c (Å): 5.822 6.249 6.650
angles (deg): 103.59 98.50 100.64
Space group P1 (No. 1)
One atom of each set of equivalent atoms:
K 0.000 0.000 0.000 [1 per cell]
Mg 0.721 0.591 0.431 [1 per cell]
H 0.085 0.168 0.440 [1 per cell]
H 0.139 0.812 0.371 [1 per cell]
H 0.156 0.684 0.716 [1 per cell]
H 0.288 0.387 0.680 [1 per cell]
H 0.988 0.495 0.782 [1 per cell]
S 0.568 0.404 0.957 [1 per cell]
S 0.589 0.084 0.708 [1 per cell]
O 0.004 0.861 0.463 [1 per cell]
O 0.277 0.763 0.223 [1 per cell]
O 0.287 0.389 0.531 [1 per cell]
O 0.310 0.330 0.967 [1 per cell]
O 0.481 0.898 0.804 [1 per cell]
O 0.497 0.763 0.312 [1 per cell]
O 0.516 0.339 0.500 [1 per cell]
O 0.738 0.387 0.148 [1 per cell]
O 0.938 0.040 0.375 [1 per cell]
O 0.987 0.609 0.702 [1 per cell]

Main lines, by angle (10° ≤ 2θ ≤ 90°):
2θ/deg  I (rel.)
17.54  33
19.17  43
23.22  43
24.12  100
24.26  37
28.16  33
30.80  31
32.06  32
33.54  63
35.06  92
35.54  28
36.06  27



Diffraction record for PbSO3. The X-ray powder pattern is theoretical, not measured: it uses a GGA-PBE-relaxed structure and λ = 1.5418 Å (Cu Kα).
Intensities are scaled so that the largest is 100.

Structure:
a b c (Å): 8.054 5.570 6.907
angles (deg): 90.00 90.00 90.00
Space group Pnma (No. 62)
One atom of each set of equivalent atoms:
Pb 0.184 0.250 0.142 [4 per cell]
S 0.035 0.250 0.649 [4 per cell]
O 0.062 0.030 0.784 [8 per cell]
O 0.188 0.250 0.516 [4 per cell]

Main lines, by angle (10° ≤ 2θ ≤ 90°):
2θ/deg  I (rel.)
20.48  85
23.30  81
27.33  100
28.11  97
30.29  83
32.14  49
32.47  47
41.53  32
43.22  69
44.02  52
45.80  44
52.32  31